NdY3Al8: simulated powder diffraction line list (λ = 1.5418 Å (Cu Kα)), based on the GGA-PBE geometry in Alexandria.
No peak broadening, texture or thermal motion is included.

Atomic structure:
Cell lengths 5.5829, 5.5829, 9.2117 Å; angles 90.00, 90.00, 120.00 degrees
Element x y z (fractional)
Nd 0.0000 0.0000 0.0000
Y 0.0000 0.0000 0.3639
Y 0.6667 0.3333 0.4987
Y 0.6667 0.3333 0.8630
Al 0.1623 0.3247 0.6798
Al 0.1623 0.8377 0.6798
Al 0.3333 0.6667 0.4335
Al 0.3333 0.6667 0.9306
Al 0.5044 0.0087 0.1849
Al 0.5044 0.4956 0.1849
Al 0.6753 0.8377 0.6798
Al 0.9913 0.4956 0.1849

Largest 10 diffraction maxima, sorted by position, 10° ≤ 2θ ≤ 80°:
2theta	intensity
18.3	29.3
20.7	28.3
32.1	67.9
34.6	100.0
37.7	73.6
38.5	40.6
58.8	40.2
63.5	25.7
67.1	17.8
77.7	18.2

***

CeTh3Co3: simulated powder diffraction line list (λ = 1.5418 Å (Cu Kα)), based on the GGA-PBE geometry in Alexandria.
No peak broadening, texture or thermal motion is included.

Atomic structure:
Cell lengths 5.6643, 5.6643, 5.6643 Å; angles 105.59, 105.59, 105.59 degrees
Element x y z (fractional)
Ce 0.0000 0.0000 0.0000
Th 0.1500 0.5655 0.5655
Th 0.5655 0.1500 0.5655
Th 0.5655 0.5655 0.1500
Co 0.0314 0.0314 0.5073
Co 0.0314 0.5073 0.0314
Co 0.5073 0.0314 0.0314

Largest 10 diffraction maxima, sorted by position, 10° ≤ 2θ ≤ 80°:
2theta	intensity
26.4	91.6
29.1	23.9
33.2	59.6
34.4	30.6
35.4	100.0
40.0	63.2
52.9	17.3
54.2	28.3
58.4	23.4
60.9	18.0

***

Pm3SmHo4: simulated powder diffraction line list (λ = 1.5418 Å (Cu Kα)), based on the GGA-PBE geometry in Alexandria.
No peak broadening, texture or thermal motion is included.

Atomic structure:
Cell lengths 6.2119, 3.5932, 11.8194 Å; angles 90.00, 100.21, 90.00 degrees
Element x y z (fractional)
Pm 0.0000 0.0000 0.0000
Pm 0.0000 0.5000 0.5000
Pm 0.5000 0.0000 0.5000
Sm 0.5000 0.5000 0.0000
Ho 0.2501 0.0000 0.7504
Ho 0.2501 0.5000 0.2498
Ho 0.7499 0.0000 0.2496
Ho 0.7499 0.5000 0.7502

Largest 10 diffraction maxima, sorted by position, 10° ≤ 2θ ≤ 80°:
2theta	intensity
30.5	100.0
30.7	32.7
35.5	67.2
50.9	24.2
51.2	23.8
60.5	9.6
60.6	23.8
60.7	9.5
60.8	9.4
63.5	12.4

***

Pr2PuS2N2: simulated powder diffraction line list (λ = 1.5418 Å (Cu Kα)), based on the GGA-PBE geometry in Alexandria.
No peak broadening, texture or thermal motion is included.

Atomic structure:
Cell lengths 8.0733, 8.0733, 8.0733 Å; angles 149.12, 149.12, 44.24 degrees
Element x y z (fractional)
Pr 0.1250 0.1250 0.0000
Pr 0.8750 0.8750 0.0000
Pu 0.5000 0.5000 0.0000
S 0.3187 0.3187 0.0000
S 0.6813 0.6813 0.0000
N 0.0000 0.5000 0.5000
N 0.5000 0.0000 0.5000

Largest 10 diffraction maxima, sorted by position, 10° ≤ 2θ ≤ 80°:
2theta	intensity
11.8	58.4
27.4	100.0
29.4	96.2
36.6	83.2
42.0	43.7
50.9	38.8
56.9	46.4
57.9	18.1
69.1	17.2
72.9	16.1

***

Sc2ZnSi3Pt4: simulated powder diffraction line list (λ = 1.5418 Å (Cu Kα)), based on the GGA-PBE geometry in Alexandria.
No peak broadening, texture or thermal motion is included.

Atomic structure:
Cell lengths 4.0255, 4.0255, 10.3528 Å; angles 90.00, 90.00, 90.00 degrees
Element x y z (fractional)
Sc 0.0000 0.5000 0.2465
Sc 0.5000 0.0000 0.7535
Zn 0.5000 0.5000 0.0000
Si 0.0000 0.0000 0.0000
Si 0.0000 0.5000 0.6358
Si 0.5000 0.0000 0.3642
Pt 0.0000 0.0000 0.5000
Pt 0.0000 0.5000 0.8567
Pt 0.5000 0.0000 0.1433
Pt 0.5000 0.5000 0.5000

Largest 10 diffraction maxima, sorted by position, 10° ≤ 2θ ≤ 80°:
2theta	intensity
17.1	30.3
23.7	42.6
25.8	44.9
28.1	41.9
32.6	68.2
36.0	100.0
45.0	61.2
47.5	65.3
49.5	24.0
52.6	27.0

***

SrCaTl6: simulated powder diffraction line list (λ = 1.5418 Å (Cu Kα)), based on the GGA-PBE geometry in Alexandria.
No peak broadening, texture or thermal motion is included.

Atomic structure:
Cell lengths 5.6529, 6.8982, 6.8982 Å; angles 63.86, 90.00, 90.00 degrees
Element x y z (fractional)
Sr 0.0000 0.0000 0.0000
Ca 0.5000 0.6954 0.6954
Tl 0.0000 0.0255 0.4923
Tl 0.0000 0.4923 0.0255
Tl 0.0000 0.5160 0.5160
Tl 0.5000 0.1840 0.1840
Tl 0.5000 0.2062 0.6665
Tl 0.5000 0.6665 0.2062

Largest 10 diffraction maxima, sorted by position, 10° ≤ 2θ ≤ 80°:
2theta	intensity
28.8	17.7
30.5	14.2
31.7	36.0
33.0	100.0
34.5	36.2
43.3	11.9
53.2	15.5
57.2	21.1
62.2	11.9
63.3	18.5